Theoretical powder diffractogram
Compound: MgCd2TeO6
Radiation: copper Kα
Structure: a structure optimized by DFT (PBE)
Intensities are scaled so that the largest is 100.

Main lines, in order of rising 2θ (15° ≤ 2θ ≤ 90°):
h k l	2θ (°)	d (Å)	intensity
0 1 1	19.79	4.487	17
0 2 0	32.52	2.754	23
1 1 1	32.81	2.730	100
2 0 -2	33.22	2.697	23
2 2 -2	47.17	1.927	24
3 1 -1	59.10	1.563	23

Cell and atoms:
a = 5.3933 Å, b = 5.5073 Å, c = 9.4243 Å
α = 90.00°, β = 124.82°, γ = 90.00°
Space group P2_1/c (No. 14)
Inequivalent atoms, fractional coordinates:
Mg 0.0000 0.0000 0.0000 x2
Cd 0.2373 0.0432 0.7481 x4
Te 0.5000 0.0000 0.5000 x2
O 0.1591 0.1959 0.4495 x4
O 0.2530 0.7115 0.4424 x4
O 0.3616 0.0404 0.2595 x4

Theoretical powder diffractogram
Compound: NbSnPO5
Radiation: copper Kα
Structure: a structure optimized by DFT (PBE)
Intensities are scaled so that the largest is 100.

Main lines, in order of rising 2θ (15° ≤ 2θ ≤ 90°):
h k l	2θ (°)	d (Å)	intensity
0 0 1	15.85	5.592	77
0 1 -1	16.28	5.446	76
1 0 1	27.60	3.231	73
1 0 -2	29.61	3.017	69
1 -2 0	30.71	2.912	100
2 1 0	41.64	2.169	76

Cell and atoms:
a = 5.7501 Å, b = 6.5737 Å, c = 6.6132 Å
α = 112.76°, β = 108.58°, γ = 96.94°
Space group P-1 (No. 2)
Inequivalent atoms, fractional coordinates:
Nb 0.1328 0.1180 0.2191 x2
Sn 0.4049 0.7057 0.9432 x2
P 0.1845 0.6841 0.3920 x2
O 0.0425 0.2746 0.5379 x2
O 0.1083 0.4288 0.1977 x2
O 0.2430 0.8434 0.2824 x2
O 0.2600 0.0020 0.9399 x2
O 0.4311 0.7242 0.6053 x2

Theoretical powder diffractogram
Compound: DyY2Co7Ni2
Radiation: copper Kα
Structure: a structure optimized by DFT (PBE)
Intensities are scaled so that the largest is 100.

Main lines, in order of rising 2θ (15° ≤ 2θ ≤ 90°):
h k l	2θ (°)	d (Å)	intensity
1 0 7	33.07	2.708	34
0 1 8	36.06	2.491	34
1 1 0	36.55	2.458	41
0 2 1	42.62	2.121	35
1 1 6	42.91	2.108	100
3 0 6	70.18	1.341	22

Cell and atoms:
a = 4.9169 Å, b = 4.9169 Å, c = 24.5694 Å
α = 90.00°, β = 90.00°, γ = 120.00°
Space group R-3m (No. 166, hexagonal axes)
Inequivalent atoms, fractional coordinates:
Dy 0.0000 0.0000 0.0000 x3
Y 0.0000 0.0000 0.1395 x6
Co 0.0000 0.0000 0.5000 x3
Co 0.9999 0.4999 0.0812 x18
Ni 0.0000 0.0000 0.3335 x6

Theoretical powder diffractogram
Compound: PtC8
Radiation: copper Kα
Structure: a structure optimized by DFT (PBE)
Intensities are scaled so that the largest is 100.

Main lines, in order of rising 2θ (15° ≤ 2θ ≤ 90°):
h k l	2θ (°)	d (Å)	intensity
1 0 0	20.66	4.300	100
1 0 1	29.15	3.064	88
1 1 0	36.18	2.483	25
1 1 1	41.86	2.158	33
1 0 2	46.67	1.946	24
2 0 1	47.12	1.929	34

Cell and atoms:
a = 4.9655 Å, b = 4.9655 Å, c = 4.3656 Å
α = 90.00°, β = 90.00°, γ = 120.00°
Space group P6/mmm (No. 191)
Inequivalent atoms, fractional coordinates:
Pt 0.0000 0.0000 0.0000 x1
C 0.1679 0.3358 0.5000 x6
C 0.3333 0.6667 0.5000 x2

Theoretical powder diffractogram
Compound: TbZr2
Radiation: copper Kα
Structure: a structure optimized by DFT (PBE)
Intensities are scaled so that the largest is 100.

Main lines, in order of rising 2θ (15° ≤ 2θ ≤ 90°):
h k l	2θ (°)	d (Å)	intensity
0 3 1	30.86	2.898	17
2 0 0	33.88	2.646	25
1 0 2	35.28	2.544	100
2 3 1	46.45	1.955	15
3 0 2	61.52	1.507	19
2 3 3	65.95	1.416	14

Cell and atoms:
a = 5.2917 Å, b = 10.0270 Å, c = 5.8164 Å
α = 90.00°, β = 90.00°, γ = 90.00°
Space group Pmmn (No. 59, origin choice 2)
Inequivalent atoms, fractional coordinates:
Tb 0.2500 0.0854 0.0891 x4
Zr 0.2500 0.2500 0.5893 x2
Zr 0.2500 0.5909 0.5684 x4
Zr 0.2500 0.7500 0.1003 x2

Theoretical powder diffractogram
Compound: Ag15As
Radiation: copper Kα
Structure: a structure optimized by DFT (PBE)
Intensities are scaled so that the largest is 100.

Main lines, in order of rising 2θ (15° ≤ 2θ ≤ 90°):
h k l	2θ (°)	d (Å)	intensity
2 0 10	35.64	2.519	16
2 1 0	38.01	2.367	100
0 1 11	44.09	2.054	31
4 0 0	44.37	2.042	20
0 2 0	64.29	1.449	16
6 1 0	77.41	1.233	11

Cell and atoms:
a = 8.1695 Å, b = 2.9004 Å, c = 31.9973 Å
α = 90.00°, β = 90.01°, γ = 90.00°
Space group P2_1/m (No. 11)
Inequivalent atoms, fractional coordinates:
Ag 0.1213 0.2500 0.1974 x2
Ag 0.1248 0.2500 0.3850 x2
Ag 0.1250 0.2500 0.4772 x2
Ag 0.1249 0.2500 0.5692 x2
Ag 0.1251 0.2500 0.6619 x2
Ag 0.1250 0.2500 0.7537 x2
Ag 0.1262 0.2500 0.2923 x2
Ag 0.3713 0.7500 0.8026 x2
Ag 0.3751 0.7500 0.1552 x2
Ag 0.3748 0.7500 0.2454 x2
Ag 0.3751 0.7500 0.3388 x2
Ag 0.3749 0.7500 0.4311 x2
Ag 0.3750 0.7500 0.5230 x2
Ag 0.3748 0.7500 0.6152 x2
Ag 0.3764 0.7500 0.7079 x2
As 0.1250 0.2500 0.8420 x2

Theoretical powder diffractogram
Compound: ZrInAg3Te4
Radiation: copper Kα
Structure: a structure optimized by DFT (PBE)
Intensities are scaled so that the largest is 100.

Main lines, in order of rising 2θ (15° ≤ 2θ ≤ 90°):
h k l	2θ (°)	d (Å)	intensity
0 2 1	22.43	3.964	51
1 0 2	24.88	3.578	100
1 2 -1	25.36	3.512	62
2 2 1	37.65	2.389	80
2 2 -3	40.17	2.245	85
0 4 0	41.90	2.156	58

Cell and atoms:
a = 6.5737 Å, b = 8.6233 Å, c = 10.3170 Å
α = 90.00°, β = 103.03°, γ = 90.00°
Space group P2_1/m (No. 11)
Inequivalent atoms, fractional coordinates:
Zr 0.1724 0.2500 0.2798 x2
In 0.3327 0.2500 0.9330 x2
Ag 0.2853 0.5181 0.5028 x4
Ag 0.3235 0.7500 0.7147 x2
Te 0.0414 0.2500 0.5232 x2
Te 0.1463 0.7500 0.9382 x2
Te 0.4045 0.5143 0.2530 x4

Theoretical powder diffractogram
Compound: Gd2HoScIn2
Radiation: copper Kα
Structure: a structure optimized by DFT (PBE)
Intensities are scaled so that the largest is 100.

Main lines, in order of rising 2θ (15° ≤ 2θ ≤ 90°):
h k l	2θ (°)	d (Å)	intensity
1 0 2	33.11	2.705	100
1 1 0	33.80	2.652	92
2 0 2	48.05	1.894	35
2 1 2	60.03	1.541	36
3 0 0	60.47	1.531	17
1 1 4	66.00	1.415	25

Cell and atoms:
a = 5.3033 Å, b = 5.3033 Å, c = 6.6952 Å
α = 90.00°, β = 90.00°, γ = 120.00°
Space group P-6m2 (No. 187)
Inequivalent atoms, fractional coordinates:
Gd 0.0000 0.0000 0.2421 x2
Ho 0.3333 0.6667 0.5000 x1
Sc 0.6667 0.3333 0.0000 x1
In 0.3333 0.6667 0.0000 x1
In 0.6667 0.3333 0.5000 x1

Theoretical powder diffractogram
Compound: Ta11Co2
Radiation: copper Kα
Structure: a structure optimized by DFT (PBE)
Intensities are scaled so that the largest is 100.

Main lines, in order of rising 2θ (15° ≤ 2θ ≤ 90°):
h k l	2θ (°)	d (Å)	intensity
0 0 12	38.38	2.345	31
1 1 6	38.76	2.323	100
0 2 1	39.02	2.308	30
0 1 11	40.27	2.240	38
2 0 5	42.19	2.142	54
2 2 0	70.42	1.337	29

Cell and atoms:
a = 5.3484 Å, b = 5.3484 Å, c = 28.1428 Å
α = 90.00°, β = 90.00°, γ = 120.00°
Space group R-3m (No. 166, hexagonal axes)
Inequivalent atoms, fractional coordinates:
Ta 0.0000 0.0000 0.0000 x3
Ta 0.0000 0.0000 0.1671 x6
Ta 0.0000 0.0000 0.3512 x6
Ta 0.0026 0.5013 0.4136 x18
Co 0.0000 0.0000 0.4534 x6

Theoretical powder diffractogram
Compound: DyHo2Fe2Co6Ni
Radiation: copper Kα
Structure: a structure optimized by DFT (PBE)
Intensities are scaled so that the largest is 100.

Main lines, in order of rising 2θ (15° ≤ 2θ ≤ 90°):
h k l	2θ (°)	d (Å)	intensity
1 0 7	33.31	2.689	53
1 1 0	36.14	2.485	58
0 1 8	36.39	2.469	45
0 2 1	42.15	2.144	41
1 1 6	42.78	2.114	100
3 0 6	69.60	1.351	34

Cell and atoms:
a = 4.9703 Å, b = 4.9703 Å, c = 24.1125 Å
α = 90.00°, β = 90.00°, γ = 120.00°
Space group R-3m (No. 166, hexagonal axes)
Inequivalent atoms, fractional coordinates:
Dy 0.0000 0.0000 0.0000 x3
Ho 0.0000 0.0000 0.1400 x6
Fe 0.0000 0.0000 0.3339 x6
Co 0.0014 0.5007 0.9187 x18
Ni 0.0000 0.0000 0.5000 x3